This entry pairs a crystal structure of InNi14Ir with its computed PXRD pattern. Radiation: λ = 1.5418 Å (Cu Kα). Structure: a cell relaxed with PBE.
No peak broadening, texture or thermal motion is included.

Peak list (8 most intense, 2θ from 15° to 90°, in order of rising 2θ)
2θ = 41.98°, d = 2.152 Å, I = 62; 2θ = 42.42°, d = 2.131 Å, I = 32; 2θ = 43.71°, d = 2.071 Å, I = 54; 2θ = 46.26°, d = 1.963 Å, I = 100; 2θ = 46.66°, d = 1.947 Å, I = 44; 2θ = 52.79°, d = 1.734 Å, I = 30; 2θ = 74.23°, d = 1.278 Å, I = 21; 2θ = 82.11°, d = 1.174 Å, I = 16

Atomic structure:
a = 8.2844 Å, b = 5.1110 Å, c = 5.1110 Å
α = 60.70°, β = 90.00°, γ = 90.00°
Atoms (fractional coordinates):
1 In 0.0000 0.0000 0.0000
2 Ni 0.0000 0.0011 0.4997
3 Ni 0.0000 0.4997 0.0011
4 Ni 0.2531 0.3310 0.3310
5 Ni 0.2611 0.3385 0.8286
6 Ni 0.2609 0.8282 0.8282
7 Ni 0.2611 0.8286 0.3385
8 Ni 0.5000 0.1641 0.1641
9 Ni 0.5000 0.1639 0.6616
10 Ni 0.5000 0.6616 0.1639
11 Ni 0.5000 0.6634 0.6634
12 Ni 0.7389 0.3385 0.8286
13 Ni 0.7391 0.8282 0.8282
14 Ni 0.7389 0.8286 0.3385
15 Ni 0.7469 0.3310 0.3310
16 Ir 0.0000 0.5005 0.5005